No. 1
Rb4CdBr6: calculated XRD peak list (Cu Kα X-rays), based on a DFT-relaxed cell (PBE, the Materials Project).

Most intense lines, 15 to 90 degrees two-theta, low angle first:
2theta	Rel. int.	index
23.08	29	3 0 0
26.44	21	0 2 4
28.38	58	1 3 1
29.70	67	2 1 4
29.90	19	3 1 2
31.32	100	2 2 3
32.35	23	0 0 6
35.61	20	4 1 0
40.39	32	3 2 4
60.38	23	3 5 4

Structural model:
```
data_Rb4CdBr6
_chemical_formula_sum 'Rb24 Cd6 Br36'
_space_group_name_H-M_alt 'R -3 c'
_space_group_IT_number 167
_space_group_name_Hall '-R 3 2"c'
_cell_length_a 13.3348
_cell_length_b 13.3348
_cell_length_c 16.6061
_cell_angle_alpha 90.00
_cell_angle_beta 90.00
_cell_angle_gamma 120.00
loop_
_atom_site_label
_atom_site_type_symbol
_atom_site_fract_x
_atom_site_fract_y
_atom_site_fract_z
Rb1 Rb 0.0000 0.0000 0.2500
Rb2 Rb 0.0000 0.3824 0.2500
Cd1 Cd 0.0000 0.0000 0.0000
Br1 Br 0.0317 0.1885 0.4009
```


No. 2
RbCdBr3: calculated XRD peak list (Cu Kα X-rays), based on a DFT-relaxed cell (PBE, the Materials Project).

Most intense lines, 15 to 90 degrees two-theta, low angle first:
2theta	Rel. int.	index
28.09	36	1 1 3
28.19	88	2 1 1
28.81	34	2 0 4
29.25	44	1 0 5
29.82	100	2 1 2
34.78	45	0 1 5
40.71	24	4 0 3
41.44	38	3 1 4
41.89	41	0 2 0
45.72	30	1 1 7

Structural model:
```
data_RbCdBr3
_chemical_formula_sum 'Rb4 Cd4 Br12'
_space_group_name_H-M_alt 'P n m a'
_space_group_IT_number 62
_cell_length_a 9.738
_cell_length_b 4.313
_cell_length_c 16.074
_cell_angle_alpha 90.00
_cell_angle_beta 90.00
_cell_angle_gamma 90.00
loop_
_space_group_symop_operation_xyz
'x,y,z'
'-x,-y,-z'
'-x+1/2,-y,z+1/2'
'x+1/2,y,-z+1/2'
'x+1/2,-y+1/2,-z+1/2'
'-x+1/2,y+1/2,z+1/2'
'-x,y+1/2,-z'
'x,-y+1/2,z'
loop_
_atom_site_label
_atom_site_type_symbol
_atom_site_fract_x
_atom_site_fract_y
_atom_site_fract_z
Rb1 Rb 0.067 0.250 0.174
Cd1 Cd 0.164 0.750 0.445
Br1 Br 0.025 0.750 0.599
Br2 Br 0.171 0.750 0.004
Br3 Br 0.220 0.250 0.793
```


No. 3
CdSbS2Br: calculated XRD peak list (Cu Kα X-rays), based on a DFT-relaxed cell (PBE, the Materials Project).

Most intense lines, 15 to 90 degrees two-theta, low angle first:
2theta	Rel. int.	index
22.85	76	2 0 2
29.56	39	1 1 -2
30.08	38	2 0 -3
30.31	100	3 1 0
31.51	23	3 1 -1
31.84	22	3 1 1
35.79	22	3 1 2
43.99	23	1 1 4
44.74	28	5 1 -2
45.63	62	0 2 0

Structural model:
```
data_CdSbS2Br
_chemical_formula_sum 'Cd4 Sb4 S8 Br4'
_space_group_name_H-M_alt 'C 1 2/m 1'
_space_group_IT_number 12
_cell_length_a 13.201
_cell_length_b 3.974
_cell_length_c 9.845
_cell_angle_alpha 90.00
_cell_angle_beta 91.61
_cell_angle_gamma 90.00
loop_
_space_group_symop_operation_xyz
'x,y,z'
'-x,-y,-z'
'-x,y,-z'
'x,-y,z'
'x+1/2,y+1/2,z'
'-x+1/2,-y+1/2,-z'
'-x+1/2,y+1/2,-z'
'x+1/2,-y+1/2,z'
loop_
_atom_site_label
_atom_site_type_symbol
_atom_site_fract_x
_atom_site_fract_y
_atom_site_fract_z
Cd1 Cd 0.000 0.000 0.000
Cd2 Cd 0.000 0.000 0.500
Sb1 Sb 0.214 0.500 0.315
S1 S 0.086 0.000 0.261
S2 S 0.146 0.500 0.550
Br1 Br 0.134 0.500 0.924
```


No. 4
CdSb2Se3Br2: calculated XRD peak list (Cu Kα X-rays), based on a DFT-relaxed cell (PBE, the Materials Project).

Most intense lines, 15 to 90 degrees two-theta, low angle first:
2theta	Rel. int.	index
17.54	17	4 0 -2
28.84	30	2 0 -4
29.45	18	3 1 1
30.26	100	5 1 -2
30.83	19	4 0 2
32.43	49	5 1 -3
36.99	17	2 0 -5
44.25	29	0 2 0
44.84	17	10 0 -5
49.00	17	7 1 -6

Structural model:
```
data_CdSb2Se3Br2
_chemical_formula_sum 'Cd4 Sb8 Se12 Br8'
_space_group_name_H-M_alt 'C 1 2/m 1'
_space_group_IT_number 12
_cell_length_a 21.748
_cell_length_b 4.094
_cell_length_c 12.773
_cell_angle_alpha 90.00
_cell_angle_beta 120.76
_cell_angle_gamma 90.00
loop_
_space_group_symop_operation_xyz
'x,y,z'
'-x,-y,-z'
'-x,y,-z'
'x,-y,z'
'x+1/2,y+1/2,z'
'-x+1/2,-y+1/2,-z'
'-x+1/2,y+1/2,-z'
'x+1/2,-y+1/2,z'
loop_
_atom_site_label
_atom_site_type_symbol
_atom_site_fract_x
_atom_site_fract_y
_atom_site_fract_z
Cd1 Cd 0.151 0.000 0.453
Sb1 Sb 0.047 0.500 0.785
Sb2 Sb 0.206 0.000 0.087
Se1 Se 0.037 0.000 0.218
Se2 Se 0.103 0.500 0.024
Se3 Se 0.179 0.000 0.863
Br1 Br 0.103 0.500 0.538
Br2 Br 0.210 0.500 0.353
```


No. 5
Cs2KCeBr6: calculated XRD peak list (Cu Kα X-rays), based on a DFT-relaxed cell (PBE, the Materials Project).

Most intense lines, 15 to 90 degrees two-theta, low angle first:
2theta	Rel. int.	index
20.68	43	2 2 0
25.40	73	2 2 2
29.41	100	4 0 0
36.23	20	4 2 2
42.08	73	4 4 0
49.79	32	6 2 2
52.17	25	4 4 4
67.19	13	6 6 2
69.18	31	8 4 0
76.90	23	8 4 4

Structural model:
```
data_Cs2KCeBr6
_chemical_formula_sum 'Cs8 K4 Ce4 Br24'
_space_group_name_H-M_alt 'F m -3 m'
_space_group_IT_number 225
_space_group_name_Hall '-F 4 2 3'
_cell_length_a 12.147
_cell_length_b 12.147
_cell_length_c 12.147
_cell_angle_alpha 90.00
_cell_angle_beta 90.00
_cell_angle_gamma 90.00
loop_
_atom_site_label
_atom_site_type_symbol
_atom_site_fract_x
_atom_site_fract_y
_atom_site_fract_z
Cs1 Cs 0.250 0.250 0.250
K1 K 0.000 0.000 0.000
Ce1 Ce 0.000 0.000 0.500
Br1 Br 0.000 0.000 0.261
```


No. 6
Cs2LiCeBr6: calculated XRD peak list (Cu Kα X-rays), based on a DFT-relaxed cell (PBE, the Materials Project).

Most intense lines, 15 to 90 degrees two-theta, low angle first:
2theta	Rel. int.	index
22.07	35	2 2 0
25.95	16	3 1 1
27.12	91	2 2 2
31.42	100	4 0 0
38.73	16	4 2 2
45.03	72	4 4 0
53.36	39	6 2 2
55.93	25	4 4 4
74.52	32	8 4 0
83.09	24	8 4 4

Structural model:
```
data_Cs2LiCeBr6
_chemical_formula_sum 'Cs8 Li4 Ce4 Br24'
_space_group_name_H-M_alt 'F m -3 m'
_space_group_IT_number 225
_space_group_name_Hall '-F 4 2 3'
_cell_length_a 11.390
_cell_length_b 11.390
_cell_length_c 11.390
_cell_angle_alpha 90.00
_cell_angle_beta 90.00
_cell_angle_gamma 90.00
loop_
_atom_site_label
_atom_site_type_symbol
_atom_site_fract_x
_atom_site_fract_y
_atom_site_fract_z
Cs1 Cs 0.250 0.250 0.250
Li1 Li 0.000 0.000 0.000
Ce1 Ce 0.000 0.000 0.500
Br1 Br 0.000 0.000 0.245
```


No. 7
Cs2CeTa6Br15O3: calculated XRD peak list (Cu Kα X-rays), based on a DFT-relaxed cell (PBE, the Materials Project).

Most intense lines, 15 to 90 degrees two-theta, low angle first:
2theta	Rel. int.	index
26.76	37	2 -1 4
28.24	42	2 1 0
31.85	44	3 -1 3
34.43	100	3 -1 4
40.66	24	1 0 8
41.00	32	3 -1 6
42.28	38	4 -2 4
43.71	24	3 1 4
48.96	21	2 1 8
50.00	23	4 1 0

Structural model:
```
data_Cs2CeTa6Br15O3
_chemical_formula_sum 'Cs4 Ce2 Ta12 Br30 O6'
_space_group_name_H-M_alt 'P -3 1 c'
_space_group_IT_number 163
_space_group_name_Hall '-P 3 2c'
_cell_length_a 9.6534
_cell_length_b 9.6534
_cell_length_c 18.4127
_cell_angle_alpha 90.00
_cell_angle_beta 90.00
_cell_angle_gamma 120.00
loop_
_atom_site_label
_atom_site_type_symbol
_atom_site_fract_x
_atom_site_fract_y
_atom_site_fract_z
Cs1 Cs 0.3333 0.6667 0.0470
Ce1 Ce 0.3333 0.6667 0.7500
Ta1 Ta 0.0170 0.1888 0.8131
Br1 Br 0.0185 0.2209 0.0878
Br2 Br 0.0760 0.4703 0.8818
Br3 Br 0.2128 0.4255 0.2500
O1 O 0.1804 0.3609 0.7500
```


No. 8
Rb2CeCuBr6: calculated XRD peak list (Cu Kα X-rays), based on a DFT-relaxed cell (PBE, the Materials Project).

Most intense lines, 15 to 90 degrees two-theta, low angle first:
2theta	Rel. int.	index
15.86	30	2 0 0
22.50	31	2 2 0
27.65	54	2 2 2
32.03	100	4 0 0
35.93	15	4 2 0
45.93	71	4 4 0
54.45	22	6 2 2
57.09	24	4 4 4
76.18	30	8 4 0
85.03	23	8 4 4

Structural model:
```
data_Rb2CeCuBr6
_chemical_formula_sum 'Rb8 Ce4 Cu4 Br24'
_space_group_name_H-M_alt 'F m -3 m'
_space_group_IT_number 225
_space_group_name_Hall '-F 4 2 3'
_cell_length_a 11.177
_cell_length_b 11.177
_cell_length_c 11.177
_cell_angle_alpha 90.00
_cell_angle_beta 90.00
_cell_angle_gamma 90.00
loop_
_atom_site_label
_atom_site_type_symbol
_atom_site_fract_x
_atom_site_fract_y
_atom_site_fract_z
Rb1 Rb 0.250 0.250 0.250
Ce1 Ce 0.000 0.000 0.000
Cu1 Cu 0.000 0.000 0.500
Br1 Br 0.000 0.000 0.260
```


No. 9
Ce4Ga5Br2: calculated XRD peak list (Cu Kα X-rays), based on a DFT-relaxed cell (PBE, the Materials Project).

Most intense lines, 15 to 90 degrees two-theta, low angle first:
2theta	Rel. int.	index
31.08	100	4 0 1
32.03	35	0 6 0
32.15	27	2 4 1
38.33	47	3 5 1
42.71	28	0 0 2
45.24	37	4 6 1
48.88	20	7 5 0
54.37	15	0 6 2
66.90	16	7 5 2
67.77	15	3 11 1

Structural model:
```
data_Ce4Ga5Br2
_chemical_formula_sum 'Ce16 Ga20 Br8'
_space_group_name_H-M_alt 'C m m m'
_space_group_IT_number 65
_space_group_name_Hall '-C 2 2'
_cell_length_a 15.687
_cell_length_b 16.763
_cell_length_c 4.234
_cell_angle_alpha 90.00
_cell_angle_beta 90.00
_cell_angle_gamma 90.00
loop_
_atom_site_label
_atom_site_type_symbol
_atom_site_fract_x
_atom_site_fract_y
_atom_site_fract_z
Ce1 Ce 0.000 0.131 0.000
Ce2 Ce 0.142 0.317 0.500
Ce3 Ce 0.230 0.000 0.000
Ga1 Ga 0.079 0.000 0.500
Ga2 Ga 0.148 0.135 0.500
Ga3 Ga 0.218 0.181 0.000
Br1 Br 0.000 0.323 0.000
Br2 Br 0.125 0.500 0.500
```